# 1
# PmSm2Ho9
Computed powder X-ray diffraction pattern, Cu Kα (λ = 1.5418 Å). Input: a cell relaxed with PBE.
No peak broadening, texture or thermal motion is included.

The 6 most intense peaks (10 to 80 degrees two-theta), by angle:
| Position (°2θ) | I_rel |
| --- | --- |
| 30.84 | 100 |
| 35.76 | 51 |
| 51.47 | 36 |
| 61.22 | 43 |
| 64.26 | 12 |
| 75.78 | 6 |

Structural model:
```
12
Lattice="5.0207 0.0000 0.0000 0.0000 5.0207 0.0000 0.0000 0.0000 15.0679" Properties=species:S:1:pos:R:3 pbc="T T T"
Pm 0.0000 0.0000 0.0000
Sm 0.0000 0.0000 5.0250
Sm 0.0000 0.0000 10.0428
Ho 0.0000 2.5103 2.5165
Ho 0.0000 2.5103 7.5339
Ho 0.0000 2.5103 12.5513
Ho 2.5103 0.0000 2.5165
Ho 2.5103 0.0000 7.5339
Ho 2.5103 0.0000 12.5513
Ho 2.5103 2.5103 0.0000
Ho 2.5103 2.5103 5.0265
Ho 2.5103 2.5103 10.0414
```

# 2
# LiTl6Sb2
Computed powder X-ray diffraction pattern, Cu Kα (λ = 1.5418 Å). Input: a cell relaxed with PBE.
No peak broadening, texture or thermal motion is included.

The 10 most intense peaks (10 to 80 degrees two-theta), by angle:
| Position (°2θ) | I_rel |
| --- | --- |
| 28.69 | 100 |
| 33.55 | 89 |
| 35.19 | 19 |
| 44.71 | 30 |
| 47.52 | 11 |
| 55.60 | 12 |
| 57.04 | 30 |
| 59.98 | 17 |
| 70.50 | 11 |
| 77.82 | 12 |

Structural model:
```
9
Lattice="2.6715 1.5424 11.2076 -2.6715 1.5424 11.2076 0.0000 -3.0848 11.2076" Properties=species:S:1:pos:R:3 pbc="T T T"
Li 0.0000 0.0000 0.0000
Tl 0.0000 0.0000 6.1979
Tl 0.0000 0.0000 10.0823
Tl 0.0000 0.0000 14.8564
Tl 0.0000 0.0000 18.7664
Tl 0.0000 0.0000 23.5405
Tl 0.0000 0.0000 27.4248
Sb 0.0000 0.0000 2.6999
Sb 0.0000 0.0000 30.9229
```

# 3
# Na3Cd3Pt2
Computed powder X-ray diffraction pattern, Cu Kα (λ = 1.5418 Å). Input: a cell relaxed with PBE.
No peak broadening, texture or thermal motion is included.

The 10 most intense peaks (10 to 80 degrees two-theta), by angle:
| Position (°2θ) | I_rel |
| --- | --- |
| 11.79 | 58 |
| 16.07 | 55 |
| 21.22 | 100 |
| 32.17 | 29 |
| 37.53 | 39 |
| 37.61 | 37 |
| 38.91 | 36 |
| 40.15 | 25 |
| 40.27 | 25 |
| 46.69 | 26 |

Structural model:
```
8
Lattice="4.6289 0.0000 0.0000 -0.0199 5.5647 0.0000 -2.3095 -1.0067 7.5039" Properties=species:S:1:pos:R:3 pbc="T T T"
Na 0.0000 0.0000 0.0000
Na -0.0027 2.8770 2.5274
Na 2.3023 1.6810 4.9765
Cd -0.0163 3.9902 5.5952
Cd 2.3045 2.7824 0.0000
Cd 2.3159 0.5678 1.9087
Pt 0.0024 0.0272 3.2902
Pt 2.2972 4.5308 4.2137
```

# 4
# Li3AcMg3
Computed powder X-ray diffraction pattern, Cu Kα (λ = 1.5418 Å). Input: a cell relaxed with PBE.
No peak broadening, texture or thermal motion is included.

The 10 most intense peaks (10 to 80 degrees two-theta), by angle:
| Position (°2θ) | I_rel |
| --- | --- |
| 17.29 | 100 |
| 24.55 | 40 |
| 30.18 | 96 |
| 34.99 | 19 |
| 39.28 | 27 |
| 46.87 | 58 |
| 53.61 | 17 |
| 56.77 | 17 |
| 65.64 | 19 |
| 71.21 | 17 |

Structural model:
```
14
Lattice="7.2526 0.0000 0.0000 0.0000 7.2526 0.0000 0.0000 0.0000 7.2526" Properties=species:S:1:pos:R:3 pbc="T T T"
Li 0.0000 1.8131 3.6263
Li 0.0000 5.4394 3.6263
Li 1.8131 3.6263 0.0000
Li 3.6263 0.0000 1.8131
Li 3.6263 0.0000 5.4394
Li 5.4394 3.6263 0.0000
Ac 0.0000 0.0000 0.0000
Ac 3.6263 3.6263 3.6263
Mg 0.0000 3.6263 1.8131
Mg 0.0000 3.6263 5.4394
Mg 1.8131 0.0000 3.6263
Mg 3.6263 1.8131 0.0000
Mg 3.6263 5.4394 0.0000
Mg 5.4394 0.0000 3.6263
```

# 5
# BaPu2I6
Computed powder X-ray diffraction pattern, Cu Kα (λ = 1.5418 Å). Input: a cell relaxed with PBE.
No peak broadening, texture or thermal motion is included.

The 10 most intense peaks (10 to 80 degrees two-theta), by angle:
| Position (°2θ) | I_rel |
| --- | --- |
| 10.59 | 90 |
| 15.22 | 46 |
| 18.58 | 36 |
| 27.39 | 36 |
| 27.87 | 70 |
| 28.43 | 71 |
| 29.87 | 34 |
| 30.93 | 100 |
| 33.59 | 48 |
| 35.76 | 56 |

Structural model:
```
18
Lattice="8.8330 -5.8225 0.0000 8.8330 5.8225 0.0000 -2.5033 0.0000 7.2580" Properties=species:S:1:pos:R:3 pbc="T T T"
Ba 6.9555 3.6086 5.4435
Ba 8.2072 -3.6086 1.8145
Pu 4.4801 0.2767 0.5201
Pu 3.2284 -0.2767 4.1491
Pu 11.9343 0.2767 3.1089
Pu 10.6826 -0.2767 6.7379
I 0.2227 0.6438 5.0091
I 3.5197 2.6390 6.0176
I 1.4744 -0.6438 1.3801
I 5.9663 1.1171 3.1660
I 10.3914 2.6390 4.8694
I 4.7146 -1.1171 6.7950
I 10.4481 1.1171 0.4630
I 4.7713 -2.6390 2.3886
I 9.1964 -1.1171 4.0920
I 13.6883 0.6438 5.8779
I 11.6430 -2.6390 1.2404
I 14.9399 -0.6438 2.2489
```

# 6
# La2PrBi2
Computed powder X-ray diffraction pattern, Cu Kα (λ = 1.5418 Å). Input: a cell relaxed with PBE.
No peak broadening, texture or thermal motion is included.

The 10 most intense peaks (10 to 80 degrees two-theta), by angle:
| Position (°2θ) | I_rel |
| --- | --- |
| 19.87 | 39 |
| 25.42 | 27 |
| 29.21 | 27 |
| 29.43 | 100 |
| 34.15 | 43 |
| 34.41 | 45 |
| 35.51 | 28 |
| 38.65 | 70 |
| 52.60 | 25 |
| 52.80 | 24 |

Structural model:
```
10
Lattice="6.6003 0.0000 0.0000 0.0000 6.5789 0.0000 -3.2096 0.0000 7.9021" Properties=species:S:1:pos:R:3 pbc="T T T"
La 0.0000 1.6065 0.0000
La 0.0000 4.9724 0.0000
La 3.3001 1.6829 0.0000
La 3.3001 4.8960 0.0000
Pr -1.6048 3.2895 3.9510
Pr 1.6954 0.0000 3.9510
Bi -1.5233 0.0000 5.5232
Bi 1.6139 3.2895 2.3789
Bi 1.7768 3.2895 5.5232
Bi 4.9140 0.0000 2.3789
```

# 7
# Na5B7C3
Computed powder X-ray diffraction pattern, Cu Kα (λ = 1.5418 Å). Input: a cell relaxed with PBE.
No peak broadening, texture or thermal motion is included.

The 10 most intense peaks (10 to 80 degrees two-theta), by angle:
| Position (°2θ) | I_rel |
| --- | --- |
| 35.04 | 11 |
| 36.17 | 17 |
| 41.01 | 25 |
| 41.14 | 25 |
| 42.06 | 100 |
| 42.24 | 38 |
| 63.59 | 17 |
| 65.77 | 8 |
| 79.19 | 8 |
| 79.47 | 8 |

Structural model:
```
30
Lattice="8.9247 -1.4199 0.0000 8.9247 1.4199 0.0000 -5.2950 0.0000 12.2793" Properties=species:S:1:pos:R:3 pbc="T T T"
Na 0.0000 0.0000 0.0000
Na -2.6091 0.0000 6.0619
Na 1.4662 0.0000 4.8615
Na -1.1723 0.0000 11.0453
Na 5.5557 0.0000 3.6426
Na 2.9008 0.0000 9.8199
Na 9.6522 0.0000 2.4339
Na 7.0584 0.0000 8.5507
Na 11.0537 0.0000 7.3294
Na 13.7692 0.0000 1.2190
B -3.7320 0.0000 9.9457
B -0.1411 0.0000 6.9759
B 3.0017 0.0000 2.5494
B 0.3804 0.0000 8.7557
B 1.3569 0.0000 12.1220
B 4.4296 0.0000 7.3374
B 8.0753 0.0000 4.5877
B 5.4731 0.0000 10.9493
B 11.2539 0.0000 0.3021
B 12.2052 0.0000 3.4832
B 9.5910 0.0000 9.7601
B 12.6930 0.0000 5.1160
B 16.2914 0.0000 2.2133
B 13.6619 0.0000 8.3628
C -1.0850 0.0000 3.8091
C 2.5469 0.0000 1.0320
C 3.9962 0.0000 5.8707
C 7.1340 0.0000 1.4275
C 8.5565 0.0000 6.1936
C 10.0398 0.0000 11.3281
```

# 8
# Sn4AsSe6
Computed powder X-ray diffraction pattern, Cu Kα (λ = 1.5418 Å). Input: a cell relaxed with PBE.
No peak broadening, texture or thermal motion is included.

The 10 most intense peaks (10 to 80 degrees two-theta), by angle:
| Position (°2θ) | I_rel |
| --- | --- |
| 20.75 | 34 |
| 20.90 | 48 |
| 25.68 | 100 |
| 30.33 | 40 |
| 31.01 | 33 |
| 31.92 | 53 |
| 32.91 | 46 |
| 37.49 | 37 |
| 39.15 | 52 |
| 41.73 | 36 |

Structural model:
```
22
Lattice="8.5054 -3.4642 0.0000 8.5054 3.4642 0.0000 -8.0674 0.0000 11.2171" Properties=species:S:1:pos:R:3 pbc="T T T"
Sn 4.4717 2.6589 5.6086
Sn 6.3420 1.1225 1.9150
Sn 4.3152 1.7294 9.2317
Sn 2.3083 -1.1225 7.5236
Sn 11.9119 1.2082 2.5178
Sn 8.5054 -2.6589 0.0000
Sn 8.3489 -1.7294 3.6231
Sn 7.8782 -1.2082 8.1264
As 8.6694 1.6273 5.2817
As 4.6357 -1.6273 10.8903
Se 3.5635 2.0289 3.1359
Se -1.2127 0.1270 5.6140
Se 2.8211 -0.1270 0.0054
Se 2.2083 1.7513 7.3420
Se -0.0899 1.6027 10.8241
Se 9.0260 1.7506 2.8697
Se 2.8279 0.0121 10.9093
Se 6.8616 -0.0121 5.3008
Se -0.4702 -2.0289 8.7445
Se 3.9438 -1.6027 5.2155
Se 6.2420 -1.7513 1.7335
Se 4.9923 -1.7506 8.4782
```

# 9
# Eu2InRh
Computed powder X-ray diffraction pattern, Cu Kα (λ = 1.5418 Å). Input: a cell relaxed with PBE.
No peak broadening, texture or thermal motion is included.

The 10 most intense peaks (10 to 80 degrees two-theta), by angle:
| Position (°2θ) | I_rel |
| --- | --- |
| 33.35 | 100 |
| 35.56 | 48 |
| 41.75 | 8 |
| 44.41 | 7 |
| 49.24 | 6 |
| 51.16 | 17 |
| 58.14 | 13 |
| 62.46 | 32 |
| 62.59 | 6 |
| 70.04 | 7 |

Structural model:
```
4
Lattice="3.5707 0.0000 0.0000 0.0000 3.5707 0.0000 0.0000 0.0000 8.1588" Properties=species:S:1:pos:R:3 pbc="T T T"
Eu 0.0000 0.0000 1.7218
Eu 0.0000 0.0000 6.4370
In 1.7854 1.7854 4.0794
Rh 1.7854 1.7854 0.0000
```

# 10
# UAl20V2
Computed powder X-ray diffraction pattern, Cu Kα (λ = 1.5418 Å). Input: a cell relaxed with PBE.
No peak broadening, texture or thermal motion is included.

The 10 most intense peaks (10 to 80 degrees two-theta), by angle:
| Position (°2θ) | I_rel |
| --- | --- |
| 17.35 | 86 |
| 20.38 | 100 |
| 30.30 | 41 |
| 35.12 | 45 |
| 36.79 | 93 |
| 39.43 | 67 |
| 40.95 | 73 |
| 41.44 | 37 |
| 53.82 | 42 |
| 65.91 | 31 |

Structural model:
```
46
Lattice="0.0000 7.2266 7.2266 7.2266 0.0000 7.2266 7.2266 7.2266 0.0000" Properties=species:S:1:pos:R:3 pbc="T T T"
U 1.8067 1.8067 1.8067
U 12.6466 12.6466 12.6466
Al 0.0000 0.0000 0.0000
Al 3.6133 3.6133 0.0000
Al 3.6133 0.0000 3.6133
Al 4.6895 2.7552 2.7552
Al 8.0847 6.1505 2.7552
Al 8.0847 2.7552 6.1505
Al 9.7638 6.3686 6.3686
Al 11.6981 8.3028 6.3686
Al 11.6981 6.3686 8.3028
Al 5.4200 5.4200 3.4395
Al 5.4200 3.4395 5.4200
Al 7.4004 5.4200 5.4200
Al 2.7552 4.6895 2.7552
Al 6.1505 8.0847 2.7552
Al 2.7552 2.7552 4.6895
Al 8.0847 8.0847 4.6895
Al 6.1505 2.7552 8.0847
Al 8.0847 4.6895 8.0847
Al 9.0333 9.0333 7.0529
Al 9.0333 7.0529 9.0333
Al 11.0138 9.0333 9.0333
Al 0.0000 3.6133 3.6133
Al 3.4395 5.4200 5.4200
Al 5.4200 7.4004 5.4200
Al 5.4200 5.4200 7.4004
Al 6.3686 9.7638 6.3686
Al 8.3028 11.6981 6.3686
Al 6.3686 6.3686 9.7638
Al 11.6981 11.6981 9.7638
Al 8.3028 6.3686 11.6981
Al 11.6981 9.7638 11.6981
Al 7.0529 9.0333 9.0333
Al 9.0333 11.0138 9.0333
Al 9.0333 9.0333 11.0138
Al 2.7552 8.0847 6.1505
Al 2.7552 6.1505 8.0847
Al 4.6895 8.0847 8.0847
Al 6.3686 11.6981 8.3028
Al 6.3686 8.3028 11.6981
Al 9.7638 11.6981 11.6981
V 7.2266 3.6133 3.6133
V 3.6133 7.2266 3.6133
V 3.6133 3.6133 7.2266
V 7.2266 7.2266 7.2266
```

# 11
# CuSiNiC
Computed powder X-ray diffraction pattern, Cu Kα (λ = 1.5418 Å). Input: a cell relaxed with PBE.
No peak broadening, texture or thermal motion is included.

The 10 most intense peaks (10 to 80 degrees two-theta), by angle:
| Position (°2θ) | I_rel |
| --- | --- |
| 14.38 | 82 |
| 35.50 | 81 |
| 37.10 | 83 |
| 38.23 | 100 |
| 40.56 | 93 |
| 40.66 | 91 |
| 42.74 | 77 |
| 44.11 | 90 |
| 46.52 | 72 |
| 46.75 | 71 |

Structural model:
```
4
Lattice="2.7243 0.0000 0.0000 -1.3590 2.6661 0.0000 -0.0306 -0.6092 6.1592" Properties=species:S:1:pos:R:3 pbc="T T T"
Cu 0.0000 0.0000 0.0000
Si 1.3489 0.1495 4.1956
Ni 1.3511 1.0076 1.9112
C -0.0114 1.1680 3.3250
```

# 12
# Pm2Zn4Ni3
Computed powder X-ray diffraction pattern, Cu Kα (λ = 1.5418 Å). Input: a cell relaxed with PBE.
No peak broadening, texture or thermal motion is included.

The 10 most intense peaks (10 to 80 degrees two-theta), by angle:
| Position (°2θ) | I_rel |
| --- | --- |
| 27.23 | 19 |
| 33.85 | 19 |
| 34.67 | 33 |
| 35.24 | 42 |
| 39.85 | 33 |
| 40.20 | 20 |
| 40.42 | 100 |
| 44.64 | 36 |
| 66.04 | 22 |
| 71.28 | 22 |

Structural model:
```
9
Lattice="0.0000 4.5020 6.5493 2.5871 0.0000 6.5493 2.5871 4.5020 0.0000" Properties=species:S:1:pos:R:3 pbc="T T T"
Pm 2.5871 4.5020 1.6394
Pm 2.5871 4.5020 11.4592
Zn 2.5871 3.0034 4.4620
Zn 2.5871 3.0034 8.6366
Zn 2.5871 6.0005 4.4620
Zn 2.5871 6.0005 8.6366
Ni 1.2936 2.2510 0.0000
Ni 1.2936 2.2510 6.5493
Ni 2.5871 4.5020 6.5493
```